For K2H5N, a GGA-PBE-relaxed structure gives the computed powder diffraction line list in this record (Cu Kα (λ = 1.5418 Å)).

The 10 most intense peaks (2θ from 10° to 90°), in order of rising 2θ:
h k l	2θ (°)	I/Imax
0 1 1	21.90	30
0 1 -1	23.92	63
1 1 1	26.84	100
1 1 0	27.64	20
1 -1 1	27.75	20
1 0 2	31.63	90
0 2 0	32.96	31
0 1 2	35.09	25
2 0 1	40.96	19
1 2 2	44.67	23

Structural model:
```
data_K2H5N
_space_group_name_H-M_alt 'P 1'
_space_group_IT_number 1
_space_group_name_Hall 'P 1'
_cell_length_a 4.407
_cell_length_b 5.456
_cell_length_c 5.975
_cell_angle_alpha 85.29
_cell_angle_beta 68.40
_cell_angle_gamma 89.80
loop_
_atom_site_label
_atom_site_fract_x
_atom_site_fract_y
_atom_site_fract_z
K1 0.000 0.000 0.000
K2 0.338 0.472 0.320
H1 0.008 0.498 0.980
H2 0.358 0.980 0.285
H3 0.423 0.565 0.771
H4 0.703 0.768 0.584
H5 0.800 0.566 0.771
N1 0.668 0.589 0.658
```